Diffraction record for Tl2SbPSe4. The powder diffraction line list is calculated, not measured: it uses a GGA-PBE-relaxed structure and Cu Ka.
No peak broadening, texture or thermal motion is included.

Principal peaks in the range 2θ = 10–80°, sorted by position:
d/Å  2θ/deg  I (rel.)  hkl
4.751  18.67  27  0 2 0
4.101  21.67  87  2 1 0
3.725  23.89  63  0 2 1
2.999  29.79  100  0 0 2
2.885  31.00  93  3 1 0
2.801  31.95  51  0 3 1
2.600  34.49  49  2 3 0
2.422  37.13  40  2 1 2
2.385  37.72  27  2 3 1
2.081  43.50  36  3 1 2

Cell and atoms:
```
16
Lattice="9.0934 0.0000 0.0000 0.0000 9.5029 0.0000 0.0000 0.0000 6.0005" Properties=species:S:1:pos:R:3 pbc="T T T"
Tl 1.9089 1.1559 0.0000
Tl 2.6378 8.3470 3.0003
Tl 6.4556 8.3470 3.0003
Tl 7.1845 1.1559 0.0000
Sb 0.0000 6.6194 5.8774
Sb 4.5467 2.8836 2.8771
P 0.0000 3.7732 2.5510
P 4.5467 5.7297 5.5513
Se 0.0000 3.9389 0.1906
Se 0.0000 6.9153 3.2972
Se 1.7183 2.2724 2.9788
Se 2.8284 7.2306 5.9791
Se 4.5467 2.5877 0.2969
Se 4.5467 5.5640 3.1909
Se 6.2650 7.2306 5.9791
Se 7.3752 2.2724 2.9788
```

Diffraction record for RbLi. The powder diffraction line list is calculated, not measured: it uses a GGA-PBE-relaxed structure and Cu Ka.
No peak broadening, texture or thermal motion is included.

Principal peaks in the range 2θ = 10–80°, sorted by position:
d/Å  2θ/deg  I (rel.)  hkl
5.796  15.29  29  1 0 0
5.742  15.43  30  1 0 -1
3.880  22.92  100  1 0 1
3.827  23.24  33  1 0 -2
3.658  24.33  26  0 0 2
3.587  24.82  84  1 1 0
3.139  28.44  25  2 0 -1
2.449  36.70  19  2 1 0
2.434  36.94  24  2 1 -2
2.288  39.38  26  0 2 0

Cell and atoms:
```
4
Lattice="6.2777 0.0000 0.0000 0.0000 4.5804 0.0000 -3.0433 0.0000 7.3158" Properties=species:S:1:pos:R:3 pbc="T T T"
Rb 0.0411 1.1451 2.1242
Rb 3.1934 3.4353 5.1916
Li 0.0514 1.1451 6.3625
Li 3.1830 3.4353 0.9533
```